This entry pairs a crystal structure of Sm5TmSc with its computed powder diffraction line list. Radiation: Cu Kα X-rays. Structure: DFT lattice parameters and positions (PBE).
Peak positions follow from Bragg's law for the DFT cell and can differ from measured ones.

Crystal structure
a = 7.246 Å, b = 7.246 Å, c = 5.821 Å
α = 93.35°, β = 93.35°, γ = 73.57°
Positions (direct):
1 Sm 0.000 0.000 0.000
2 Sm 0.249 0.249 0.557
3 Sm 0.313 0.687 0.500
4 Sm 0.687 0.313 0.500
5 Sm 0.751 0.751 0.443
6 Tm 0.500 0.500 0.000
7 Sc 0.000 0.000 0.500

Peak list (10 most intense, 2θ = 10–90°, in order of rising 2θ)
- 15.3°, d = 5.796 Å, I = 73
- 20.5°, d = 4.339 Å, I = 33
- 29.4°, d = 3.039 Å, I = 77
- 30.6°, d = 2.924 Å, I = 70
- 30.9°, d = 2.898 Å, I = 100
- 35.3°, d = 2.544 Å, I = 16
- 37.3°, d = 2.410 Å, I = 24
- 42.5°, d = 2.129 Å, I = 19
- 52.7°, d = 1.737 Å, I = 20
- 53.3°, d = 1.719 Å, I = 16